Record 1
Structure and theoretical PXRD pattern of MnAs2W (a GGA-PBE-relaxed structure; λ = 1.5418 Å (Cu Kα)).
Intensities are scaled so that the largest is 100.

Atomic structure:
```
4
Lattice="2.8900 0.0000 0.0000 0.0000 2.8900 0.0000 0.0000 0.0000 7.9570" Properties=species:S:1:pos:R:3 pbc="T T T"
Mn 0.0000 0.0000 0.0000
As 0.0000 0.0000 3.5250
As 1.4450 1.4450 6.5685
W 1.4450 1.4450 1.6394
```

The 12 most intense peaks (10° ≤ 2θ ≤ 90°), sorted by position:
two_theta	I/Imax	h k l
11.12	100	0 0 1
30.94	13	1 0 0
32.97	23	1 0 1
33.79	13	0 0 3
38.50	99	1 0 2
44.33	48	1 1 0
45.85	13	1 1 1
46.47	46	1 0 3
64.48	16	2 0 0
75.76	15	1 1 5
77.68	25	2 1 2
83.14	17	2 1 3


Record 2
Structure and theoretical PXRD pattern of ZrMn2As (a GGA-PBE-relaxed structure; λ = 1.5418 Å (Cu Kα)).
Intensities are scaled so that the largest is 100.

Atomic structure:
```
8
Lattice="3.8861 0.0000 0.0000 0.0000 3.8861 0.0000 0.0000 0.0000 8.5143" Properties=species:S:1:pos:R:3 pbc="T T T"
Zr 0.0000 0.0000 0.0000
Zr 1.9431 1.9431 4.2572
Mn 0.0000 1.9431 2.1286
Mn 0.0000 1.9431 6.3858
Mn 1.9431 0.0000 2.1286
Mn 1.9431 0.0000 6.3858
As 0.0000 0.0000 4.2572
As 1.9431 1.9431 0.0000
```

The 12 most intense peaks (10° ≤ 2θ ≤ 90°), sorted by position:
two_theta	I/Imax	h k l
20.87	5	0 0 2
32.59	3	1 1 0
39.01	100	1 1 2
42.47	19	0 0 4
46.75	29	2 0 0
51.71	2	2 0 2
54.53	2	1 1 4
64.99	21	2 0 4
68.26	9	2 2 0
75.39	13	1 1 6
81.53	21	3 1 2
83.80	10	2 2 4


Record 3
Structure and theoretical PXRD pattern of MoAs3 (a GGA-PBE-relaxed structure; λ = 1.5418 Å (Cu Kα)).
Intensities are scaled so that the largest is 100.

Atomic structure:
```
8
Lattice="8.7589 0.0000 0.0000 0.0000 5.3287 0.0000 -1.2664 0.0000 3.0898" Properties=species:S:1:pos:R:3 pbc="T T T"
Mo 0.0000 0.0000 0.0000
Mo 4.3794 2.6644 0.0000
As -0.6332 1.8950 1.5449
As 0.7937 3.8003 2.1374
As 2.3194 1.1359 0.9525
As 3.7463 4.5594 1.5449
As 5.1731 1.1359 2.1374
As 6.6988 3.8003 0.9525
```

The 12 most intense peaks (10° ≤ 2θ ≤ 90°), sorted by position:
two_theta	I/Imax	h k l
31.62	82	1 1 -1
37.32	58	3 1 0
38.82	100	1 1 1
40.52	49	2 2 0
43.07	22	4 0 -1
44.73	13	4 0 0
44.94	45	2 2 -1
52.76	22	1 3 0
55.00	22	2 0 -2
55.74	24	3 1 1
70.50	19	0 2 2
86.52	19	4 4 -1


Record 4
Structure and theoretical PXRD pattern of Mo4As3 (a GGA-PBE-relaxed structure; λ = 1.5418 Å (Cu Kα)).
Intensities are scaled so that the largest is 100.

Atomic structure:
```
14
Lattice="3.2088 0.0000 0.0000 0.0000 3.2088 0.0000 0.0000 0.0000 21.4160" Properties=species:S:1:pos:R:3 pbc="T T T"
Mo 0.0000 0.0000 1.4804
Mo 0.0000 0.0000 7.4207
Mo 0.0000 0.0000 13.9953
Mo 0.0000 0.0000 19.9356
Mo 1.6044 1.6044 3.2873
Mo 1.6044 1.6044 9.2276
Mo 1.6044 1.6044 12.1884
Mo 1.6044 1.6044 18.1287
As 0.0000 0.0000 4.4161
As 0.0000 0.0000 10.7080
As 0.0000 0.0000 16.9999
As 1.6044 1.6044 0.0000
As 1.6044 1.6044 6.2919
As 1.6044 1.6044 15.1241
```

The 12 most intense peaks (10° ≤ 2θ ≤ 90°), sorted by position:
two_theta	I/Imax	h k l
33.47	4	0 0 8
39.73	60	1 1 0
40.75	100	1 0 7
52.90	4	1 1 8
57.44	20	2 0 0
60.53	5	0 0 14
63.48	2	1 0 13
72.46	5	1 0 15
72.79	35	2 1 7
74.86	12	1 1 14
85.61	6	2 2 0
88.27	8	2 0 14


Record 5
Structure and theoretical PXRD pattern of Mo2As (a GGA-PBE-relaxed structure; λ = 1.5418 Å (Cu Kα)).
Intensities are scaled so that the largest is 100.

Atomic structure:
```
12
Lattice="9.4706 0.0000 0.0000 0.0000 3.2501 0.0000 -1.4223 0.0000 6.1723" Properties=species:S:1:pos:R:3 pbc="T T T"
Mo 0.0000 0.0000 0.0000
Mo 0.0497 0.0000 3.4817
Mo 0.7441 1.6251 5.5173
Mo 2.9756 0.0000 1.6661
Mo 4.7353 1.6251 0.0000
Mo 4.7850 1.6251 3.4817
Mo 5.4794 0.0000 5.5173
Mo 7.7109 1.6251 1.6661
As 1.0040 1.6251 1.7623
As 2.6738 0.0000 4.2452
As 5.7393 0.0000 1.7623
As 7.4091 1.6251 4.2452
```

The 12 most intense peaks (10° ≤ 2θ ≤ 90°), sorted by position:
two_theta	I/Imax	h k l
33.60	31	1 1 1
38.47	22	4 0 -1
38.57	28	2 0 2
39.87	100	1 1 -2
40.37	79	3 1 0
43.38	29	4 0 -2
44.00	26	0 0 3
44.93	14	4 0 1
45.37	18	3 1 1
56.64	23	0 2 0
66.63	14	3 1 3
70.59	16	2 2 2


Record 6
Structure and theoretical PXRD pattern of Mo4As (a GGA-PBE-relaxed structure; λ = 1.5418 Å (Cu Kα)).
Intensities are scaled so that the largest is 100.

Atomic structure:
```
10
Lattice="6.9455 0.0000 0.0000 0.0000 6.9455 0.0000 0.0000 0.0000 3.2145" Properties=species:S:1:pos:R:3 pbc="T T T"
Mo 0.6986 2.0811 0.0000
Mo 1.3917 4.1714 1.6072
Mo 2.0811 6.2468 0.0000
Mo 2.7741 1.3917 1.6072
Mo 4.1714 5.5538 1.6072
Mo 4.8644 0.6986 0.0000
Mo 5.5538 2.7741 1.6072
Mo 6.2468 4.8644 0.0000
As 0.0000 0.0000 1.6072
As 3.4727 3.4727 0.0000
```

The 9 most intense peaks (10° ≤ 2θ ≤ 90°), sorted by position:
two_theta	I/Imax	h k l
18.06	1	1 1 0
40.38	100	2 1 1
41.10	47	1 3 0
57.33	9	0 0 2
59.52	15	4 2 0
72.94	17	1 3 2
74.40	32	5 0 1
87.30	11	4 2 2
89.18	5	2 6 0